Calculated powder XRD pattern
Compound: BaCoSb2O8
Radiation: a wavelength of 1.5418 Å
Structure: a crystal structure in Alexandria, relaxed with PBE+U

Structural model:
a b c (Å): 5.1262 5.1904 6.4873
angles (deg): 92.97 90.83 96.54
Space group P-1 (No. 2)
Asymmetric unit:
Ba1 0.0000 0.0000 0.0000 (multiplicity 1)
Co1 0.0000 0.0000 0.5000 (multiplicity 1)
Sb1 0.4940 0.4953 0.7414 (multiplicity 2)
O1 0.2129 0.1973 0.6925 (multiplicity 2)
O2 0.2776 0.1718 0.2898 (multiplicity 2)
O3 0.3032 0.6602 0.5003 (multiplicity 2)
O4 0.3073 0.6242 0.0064 (multiplicity 2)

Main lines, in order of rising 2θ (5 to 70 degrees two-theta):
2θ/deg  Rel. int.  (hkl)
23.11  100  1 -1 0
25.98  67  1 1 0
31.84  29  0 1 -2
32.46  34  1 0 -2
33.09  30  1 0 2
33.47  24  0 1 2